(1)
Structure and theoretical X-ray diffraction stick pattern of Dy2Tm3S4 (DFT lattice parameters and positions (GGA-PBE); copper Kα).

Top 8 peaks for 10° ≤ 2θ ≤ 90°, in order of rising 2θ:
28.32°, 3.151 Å, I = 25, hkl 0 0 5; 29.28°, 3.050 Å, I = 47, hkl 0 1 2; 31.97°, 2.799 Å, I = 100, hkl 1 0 3; 44.03°, 2.057 Å, I = 22, hkl 0 1 6; 47.61°, 1.910 Å, I = 37, hkl 1 1 0; 56.33°, 1.633 Å, I = 23, hkl 1 1 5; 58.52°, 1.577 Å, I = 23, hkl 0 2 3; 78.69°, 1.216 Å, I = 28, hkl 2 1 3

Cell lengths 3.8199, 3.8199, 15.7567 Å; angles 90.00, 90.00, 120.00 degrees
Space group P-3m1 (No. 164)
Inequivalent atoms, fractional coordinates:
Dy 0.3333 0.6667 0.2063 [2 per cell]
Tm 0.0000 0.0000 0.0000 [1 per cell]
Tm 0.3333 0.6667 0.5883 [2 per cell]
S 0.0000 0.0000 0.3091 [2 per cell]
S 0.3333 0.6667 0.8999 [2 per cell]

---

(2)
Structure and theoretical X-ray diffraction stick pattern of PmDy4ErS8 (DFT lattice parameters and positions (GGA-PBE); copper Kα).

Top 8 peaks for 10° ≤ 2θ ≤ 90°, in order of rising 2θ:
22.02°, 4.036 Å, I = 25, hkl 1 1 0; 25.89°, 3.442 Å, I = 100, hkl 0 1 5; 27.06°, 3.295 Å, I = 15, hkl 2 0 2; 31.34°, 2.854 Å, I = 20, hkl 0 2 4; 41.09°, 2.197 Å, I = 44, hkl 1 2 5; 44.92°, 2.018 Å, I = 57, hkl 2 0 8; 62.47°, 1.487 Å, I = 18, hkl 4 1 3; 82.81°, 1.166 Å, I = 14, hkl 4 2 8

Cell lengths 8.0788, 8.0788, 19.7393 Å; angles 90.00, 90.00, 120.00 degrees
Space group R3m (No. 160, hexagonal axes)
Inequivalent atoms, fractional coordinates:
Pm 0.0000 0.0000 0.0000 [3 per cell]
Dy 0.0000 0.0000 0.7508 [3 per cell]
Dy 0.1674 0.3347 0.2086 [9 per cell]
Er 0.0000 0.0000 0.3759 [3 per cell]
S 0.0000 0.0000 0.1354 [3 per cell]
S 0.0000 0.0000 0.6186 [3 per cell]
S 0.0211 0.5106 0.1270 [9 per cell]
S 0.1813 0.3627 0.9561 [9 per cell]

---

(3)
Structure and theoretical X-ray diffraction stick pattern of LaEr4Tm4 (DFT lattice parameters and positions (GGA-PBE); copper Kα).

Top 8 peaks for 10° ≤ 2θ ≤ 90°, in order of rising 2θ:
31.04°, 2.881 Å, I = 100, hkl 3 0 1; 36.00°, 2.495 Å, I = 51, hkl 0 0 2; 51.82°, 1.764 Å, I = 36, hkl 3 3 2; 61.65°, 1.504 Å, I = 43, hkl 3 0 3; 64.72°, 1.440 Å, I = 12, hkl 6 0 2; 84.67°, 1.145 Å, I = 18, hkl 6 3 3; 87.38°, 1.116 Å, I = 11, hkl 6 6 2; 87.48°, 1.115 Å, I = 6, hkl 3 3 4

Cell lengths 10.590, 10.590, 4.985 Å; angles 90.00, 90.00, 90.00 degrees
Space group I4/mmm (No. 139)
Inequivalent atoms, fractional coordinates:
La 0.000 0.000 0.000 [2 per cell]
Er 0.169 0.169 0.500 [8 per cell]
Tm 0.000 0.336 0.000 [8 per cell]

---

(4)
Structure and theoretical X-ray diffraction stick pattern of CoIr12Ru6 (DFT lattice parameters and positions (GGA-PBE); copper Kα).

Top 8 peaks for 10° ≤ 2θ ≤ 90°, in order of rising 2θ:
30.60°, 2.922 Å, I = 28, hkl 2 1 1; 33.61°, 2.667 Å, I = 32, hkl 3 0 0; 41.45°, 2.178 Å, I = 100, hkl 1 3 1; 41.58°, 2.172 Å, I = 62, hkl 0 3 3; 41.83°, 2.159 Å, I = 58, hkl 0 1 5; 43.85°, 2.065 Å, I = 57, hkl 3 1 2; 44.03°, 2.056 Å, I = 69, hkl 3 -1 4; 78.93°, 1.213 Å, I = 21, hkl 2 5 3

Cell lengths 9.2456, 9.2456, 11.2121 Å; angles 90.00, 90.00, 120.00 degrees
Space group R-3 (No. 148, hexagonal axes)
Inequivalent atoms, fractional coordinates:
Co 0.0000 0.0000 0.0000 [3 per cell]
Ir 0.0320 0.1804 0.8138 [18 per cell]
Ir 0.0664 0.8556 0.4124 [18 per cell]
Ru 0.0270 0.4356 0.6994 [18 per cell]

---

(5)
Structure and theoretical X-ray diffraction stick pattern of LiTl2Cu3F12 (DFT lattice parameters and positions (GGA-PBE); copper Kα).

Top 8 peaks for 10° ≤ 2θ ≤ 90°, in order of rising 2θ:
14.82°, 5.977 Å, I = 27, hkl 1 0 1; 24.10°, 3.693 Å, I = 39, hkl 1 1 0; 25.38°, 3.509 Å, I = 75, hkl 1 0 4; 28.41°, 3.142 Å, I = 83, hkl 0 2 1; 28.97°, 3.082 Å, I = 100, hkl 1 1 3; 45.52°, 1.993 Å, I = 39, hkl 3 0 3; 49.35°, 1.847 Å, I = 39, hkl 2 2 0; 52.14°, 1.754 Å, I = 29, hkl 2 0 8

Cell lengths 7.3862, 7.3862, 16.7859 Å; angles 90.00, 90.00, 120.00 degrees
Space group R-3m (No. 166, hexagonal axes)
Inequivalent atoms, fractional coordinates:
Li 0.0000 0.0000 0.0000 [3 per cell]
Tl 0.0000 0.0000 0.3671 [6 per cell]
Cu 0.0000 0.5000 0.5000 [9 per cell]
F 0.0470 0.5235 0.6080 [18 per cell]
F 0.0792 0.5396 0.8492 [18 per cell]

---

(6)
Structure and theoretical X-ray diffraction stick pattern of Zr3H2Se2 (DFT lattice parameters and positions (GGA-PBE); copper Kα).

Top 8 peaks for 10° ≤ 2θ ≤ 90°, in order of rising 2θ:
28.57°, 3.124 Å, I = 36, hkl 1 0 -2; 29.37°, 3.041 Å, I = 100, hkl 0 2 1; 31.23°, 2.864 Å, I = 44, hkl 1 1 -2; 35.37°, 2.537 Å, I = 78, hkl 2 1 -1; 38.12°, 2.361 Å, I = 50, hkl 1 2 1; 38.72°, 2.326 Å, I = 44, hkl 2 1 0; 40.91°, 2.206 Å, I = 40, hkl 0 3 1; 42.61°, 2.122 Å, I = 46, hkl 1 0 2

Cell lengths 5.427, 7.165, 6.347 Å; angles 90.00, 115.02, 90.00 degrees
Space group P2_1/c (No. 14)
Inequivalent atoms, fractional coordinates:
Zr 0.000 0.000 0.000 [2 per cell]
Zr 0.412 0.148 0.739 [4 per cell]
H 0.375 0.098 0.058 [4 per cell]
Se 0.181 0.649 0.931 [4 per cell]

---

(7)
Structure and theoretical X-ray diffraction stick pattern of Tb2Ho2SiIr4 (DFT lattice parameters and positions (GGA-PBE); copper Kα).

Top 8 peaks for 10° ≤ 2θ ≤ 90°, in order of rising 2θ:
34.44°, 2.604 Å, I = 100, hkl 2 0 2; 39.78°, 2.266 Å, I = 42, hkl 2 2 0; 40.36°, 2.235 Å, I = 13, hkl 0 0 4; 43.83°, 2.066 Å, I = 7, hkl 2 1 3; 57.52°, 1.602 Å, I = 14, hkl 4 0 0; 57.96°, 1.591 Å, I = 18, hkl 2 2 4; 68.79°, 1.365 Å, I = 27, hkl 4 2 2; 72.60°, 1.302 Å, I = 9, hkl 4 0 4

Cell lengths 6.409, 6.409, 8.938 Å; angles 90.00, 90.00, 90.00 degrees
Space group I4/mmm (No. 139)
Inequivalent atoms, fractional coordinates:
Tb 0.000 0.000 0.191 [4 per cell]
Ho 0.000 0.500 0.250 [4 per cell]
Si 0.000 0.000 0.500 [2 per cell]
Ir 0.246 0.246 0.000 [8 per cell]

---

(8)
Structure and theoretical X-ray diffraction stick pattern of KCaH2Br (DFT lattice parameters and positions (GGA-PBE); copper Kα).

Top 8 peaks for 10° ≤ 2θ ≤ 90°, in order of rising 2θ:
15.17°, 5.841 Å, I = 47, hkl 0 0 1; 19.51°, 4.550 Å, I = 63, hkl 1 0 0; 27.73°, 3.217 Å, I = 100, hkl 1 1 0; 30.61°, 2.920 Å, I = 41, hkl 0 0 2; 31.75°, 2.818 Å, I = 37, hkl 1 1 1; 39.61°, 2.275 Å, I = 39, hkl 2 0 0; 41.77°, 2.162 Å, I = 63, hkl 1 1 2; 50.88°, 1.795 Å, I = 36, hkl 2 0 2

Cell lengths 4.550, 4.550, 5.841 Å; angles 90.00, 90.00, 90.00 degrees
Space group P4/mmm (No. 123)
Inequivalent atoms, fractional coordinates:
K 0.000 0.000 0.000 [1 per cell]
Ca 0.500 0.500 0.500 [1 per cell]
H 0.000 0.500 0.500 [2 per cell]
Br 0.500 0.500 0.000 [1 per cell]

---

(9)
Structure and theoretical X-ray diffraction stick pattern of Ca3AcTl2 (DFT lattice parameters and positions (GGA-PBE); copper Kα).

Top 8 peaks for 10° ≤ 2θ ≤ 90°, in order of rising 2θ:
21.14°, 4.202 Å, I = 49, hkl 0 2 1; 22.12°, 4.018 Å, I = 53, hkl 1 1 1; 29.14°, 3.064 Å, I = 29, hkl 0 2 2; 29.84°, 2.994 Å, I = 100, hkl 1 1 2; 31.71°, 2.822 Å, I = 47, hkl 1 3 0; 33.75°, 2.656 Å, I = 72, hkl 2 0 0; 39.16°, 2.300 Å, I = 23, hkl 0 2 3; 52.61°, 1.740 Å, I = 20, hkl 2 2 3

Cell lengths 5.317, 9.989, 7.775 Å; angles 90.00, 90.00, 90.00 degrees
Space group Pmc2_1 (No. 26)
Inequivalent atoms, fractional coordinates:
Ca 0.000 0.066 0.000 [2 per cell]
Ca 0.000 0.306 0.368 [2 per cell]
Ca 0.500 0.175 0.686 [2 per cell]
Ac 0.500 0.443 0.055 [2 per cell]
Tl 0.000 0.364 0.787 [2 per cell]
Tl 0.500 0.136 0.265 [2 per cell]

---

(10)
Structure and theoretical X-ray diffraction stick pattern of YNbZnI2 (DFT lattice parameters and positions (GGA-PBE); copper Kα).

Top 8 peaks for 10° ≤ 2θ ≤ 90°, in order of rising 2θ:
29.32°, 3.046 Å, I = 100, hkl 1 1 1; 33.40°, 2.683 Å, I = 68, hkl 2 0 0; 35.12°, 2.555 Å, I = 30, hkl 0 0 2; 47.96°, 1.897 Å, I = 24, hkl 2 2 0; 49.25°, 1.850 Å, I = 45, hkl 2 0 2; 57.21°, 1.610 Å, I = 29, hkl 3 1 1; 59.49°, 1.554 Å, I = 13, hkl 1 1 3; 60.82°, 1.523 Å, I = 23, hkl 2 2 2

Cell lengths 5.365, 5.365, 5.110 Å; angles 90.00, 90.00, 90.00 degrees
Space group P4/mmm (No. 123)
Inequivalent atoms, fractional coordinates:
Y 0.000 0.000 0.000 [1 per cell]
Nb 0.500 0.500 0.000 [1 per cell]
Zn 0.500 0.500 0.500 [1 per cell]
I 0.000 0.500 0.500 [2 per cell]

---

(11)
Structure and theoretical X-ray diffraction stick pattern of Tb2Pm3Sm4 (DFT lattice parameters and positions (GGA-PBE); copper Kα).

Top 8 peaks for 10° ≤ 2θ ≤ 90°, in order of rising 2θ:
30.24°, 2.956 Å, I = 100, hkl 3 1 0; 35.05°, 2.560 Å, I = 51, hkl 6 0 0; 50.41°, 1.810 Å, I = 36, hkl 5 1 3; 59.89°, 1.545 Å, I = 22, hkl 9 1 0; 59.96°, 1.543 Å, I = 22, hkl 2 2 3; 62.86°, 1.478 Å, I = 9, hkl 6 2 0; 81.99°, 1.175 Å, I = 9, hkl 8 2 3; 84.65°, 1.145 Å, I = 8, hkl 11 1 3

Cell lengths 15.802, 3.619, 10.851 Å; angles 90.00, 103.33, 90.00 degrees
Space group C2/m (No. 12)
Inequivalent atoms, fractional coordinates:
Tb 0.167 0.000 0.222 [4 per cell]
Pm 0.000 0.500 0.000 [2 per cell]
Pm 0.167 0.000 0.556 [4 per cell]
Sm 0.000 0.500 0.333 [4 per cell]
Sm 0.167 0.000 0.889 [4 per cell]

---

(12)
Structure and theoretical X-ray diffraction stick pattern of AcCeAl (DFT lattice parameters and positions (GGA-PBE); copper Kα).

Top 8 peaks for 10° ≤ 2θ ≤ 90°, in order of rising 2θ:
19.82°, 4.479 Å, I = 41, hkl 1 0 0; 30.56°, 2.925 Å, I = 100, hkl 1 0 1; 34.69°, 2.586 Å, I = 56, hkl 1 1 0; 46.90°, 1.937 Å, I = 31, hkl 0 2 1; 51.54°, 1.773 Å, I = 17, hkl 0 1 2; 59.63°, 1.550 Å, I = 31, hkl 2 1 1; 74.55°, 1.273 Å, I = 12, hkl 1 2 2; 81.37°, 1.183 Å, I = 13, hkl 1 3 1

Cell lengths 5.1716, 5.1716, 3.8622 Å; angles 90.00, 90.00, 120.00 degrees
Space group P3m1 (No. 156)
Inequivalent atoms, fractional coordinates:
Ac 0.0000 0.0000 0.0000 [1 per cell]
Ce 0.3333 0.6667 0.6140 [1 per cell]
Al 0.6667 0.3333 0.3517 [1 per cell]